For SmAl2Cl8, a cell relaxed with PBE gives the computed XRD peak list in this record (CuKα).
No peak broadening, texture or thermal motion is included.

Structure:
```
SmAl2Cl8
1.0
7.587 0.000 0.000
0.000 6.950 0.000
-0.927 0.000 12.757
Sm Al Cl
2 4 16
Direct
0.000 0.157 0.250 Sm
0.000 0.843 0.750 Sm
0.165 0.263 0.920 Al
0.165 0.737 0.420 Al
0.835 0.263 0.580 Al
0.835 0.737 0.080 Al
0.105 0.174 0.622 Cl
0.105 0.826 0.122 Cl
0.221 0.304 0.087 Cl
0.221 0.696 0.587 Cl
0.229 0.470 0.342 Cl
0.229 0.530 0.842 Cl
0.315 0.026 0.861 Cl
0.315 0.974 0.361 Cl
0.685 0.026 0.639 Cl
0.685 0.974 0.139 Cl
0.771 0.470 0.158 Cl
0.771 0.530 0.658 Cl
0.779 0.304 0.413 Cl
0.779 0.696 0.913 Cl
0.895 0.174 0.878 Cl
0.895 0.826 0.378 Cl
```

Top 10 peaks for 10° ≤ 2θ ≤ 80°, sorted by position:
index  two_theta  d (Å)  Rel. int.
1 0 0  11.7  7.567  1000
0 0 2  13.9  6.378  189
0 1 1  14.5  6.103  176
1 0 -2  17.5  5.061  265
1 1 1  19.0  4.672  305
0 1 3  24.5  3.627  175
1 1 -3  26.6  3.353  244
2 1 2  31.2  2.870  177
2 0 -4  35.4  2.532  238
2 0 4  38.2  2.358  188